# RbVOsO6
Computed PXRD pattern, Cu Ka. Input: a PBE+U-relaxed structure.
Neutral-atom scattering factors, no anomalous dispersion.

Atomic structure:
Lattice parameters (Å, degrees): 5.205 5.205 6.307 90.00 90.00 120.00
Fractional coordinates of all 9 atoms:
Rb1 0.000 0.000 0.000
V1 0.333 0.667 0.519
Os1 0.667 0.333 0.483
O1 0.003 0.599 0.324
O2 0.396 0.002 0.666
O3 0.401 0.404 0.324
O4 0.596 0.997 0.324
O5 0.606 0.604 0.666
O6 0.998 0.394 0.666

Main lines, by angle (2θ = 15–90°):
2θ/deg  d (Å)  I_rel
19.70  4.507  22
24.27  3.667  100
34.46  2.602  26
42.60  2.122  18
45.17  2.007  37
55.90  1.645  20